Computed X-ray diffraction stick pattern of Sr2Fe3SbP6O24 for a wavelength of 1.5418 Å, from a structure optimized by DFT (GGA+U).
Kinematic intensities with the Lorentz-polarization factor, no thermal factor.

Structural model:
```
data_Sr2Fe3SbP6O24
_chemical_formula_sum 'Sr2 Fe3 Sb1 P6 O24'
_cell_length_a 9.130
_cell_length_b 9.130
_cell_length_c 9.130
_cell_angle_alpha 56.24
_cell_angle_beta 56.24
_cell_angle_gamma 56.24
_symmetry_space_group_name_H-M 'P 1'
_symmetry_Int_Tables_number 1
loop_
_symmetry_equiv_pos_as_xyz
'x,y,z'
loop_
_atom_site_label
_atom_site_fract_x
_atom_site_fract_y
_atom_site_fract_z
Sr1 0.000 0.000 0.000
Sr2 0.496 0.496 0.496
Fe1 0.150 0.150 0.150
Fe2 0.350 0.350 0.350
Fe3 0.851 0.851 0.851
Sb1 0.650 0.650 0.650
P1 0.042 0.751 0.462
P2 0.247 0.538 0.966
P3 0.462 0.042 0.751
P4 0.538 0.966 0.247
P5 0.751 0.462 0.042
P6 0.966 0.247 0.538
O1 0.013 0.766 0.635
O2 0.063 0.926 0.282
O3 0.079 0.720 0.930
O4 0.131 0.270 0.516
O5 0.216 0.574 0.435
O6 0.238 0.368 0.981
O7 0.270 0.516 0.131
O8 0.282 0.063 0.926
O9 0.368 0.981 0.238
O10 0.431 0.565 0.779
O11 0.435 0.216 0.574
O12 0.479 0.865 0.737
O13 0.516 0.131 0.270
O14 0.565 0.779 0.431
O15 0.574 0.435 0.216
O16 0.635 0.013 0.766
O17 0.720 0.930 0.079
O18 0.737 0.479 0.865
O19 0.766 0.635 0.013
O20 0.779 0.431 0.565
O21 0.865 0.737 0.479
O22 0.926 0.282 0.063
O23 0.930 0.079 0.720
O24 0.981 0.238 0.368
```

Principal peaks in the range 10 to 80 degrees two-theta, sorted by position:
2θ 20.64, d = 4.303 Å, I = 96; 2θ 23.72, d = 3.752 Å, I = 63; 2θ 31.27, d = 2.861 Å, I = 100; 2θ 36.15, d = 2.485 Å, I = 34; 2θ 48.53, d = 1.876 Å, I = 35; 2θ 56.59, d = 1.627 Å, I = 23